Starting from a structure optimized by DFT (PBE), the X-ray powder pattern of Cd3PdPt4 was computed for Cu Kα.
Neutral-atom scattering factors, no anomalous dispersion.

Structure:
Cell lengths 16.2682, 4.1553, 4.1554 Å; angles 90.00, 104.72, 90.00 degrees
Space group C2/m (No. 12)
Unique sites:
Cd  0.0000  0.0000  0.0000
Cd  0.2496  0.0000  0.2497
Pd  0.0000  0.5000  0.5000
Pt  0.1238  0.0000  0.6238
Pt  0.1238  0.5000  0.1239

Main lines, in order of rising 2θ (5 to 70 degrees two-theta):
d_spacing	Rel. int.	hkl
3.934	6	4 0 0
2.938	6	1 1 -1
2.354	100	3 1 1
2.078	35	0 2 0
1.967	15	8 0 0
1.837	3	4 2 0
1.634	2	7 1 1
1.469	11	2 2 -2
1.428	21	8 2 0
1.376	1	2 2 2